The following is a computed XRD peak list of Lu2InAu2. It was derived from a DFT-relaxed cell (PBE, the Materials Project), using Cu Kα X-rays.
Kinematic intensities with the Lorentz-polarization factor, no thermal factor.

Atomic structure:
Cell lengths 7.924, 7.924, 7.192 Å; angles 90.00, 90.00, 90.00 degrees
Positions (direct):
Lu1 0.157 0.157 0.000
Lu2 0.183 0.183 0.500
Lu3 0.317 0.683 0.000
Lu4 0.343 0.657 0.500
Lu5 0.657 0.343 0.500
Lu6 0.683 0.317 0.000
Lu7 0.817 0.817 0.500
Lu8 0.843 0.843 0.000
In1 0.000 0.500 0.250
In2 0.000 0.500 0.750
In3 0.500 0.000 0.250
In4 0.500 0.000 0.750
Au1 0.129 0.871 0.275
Au2 0.129 0.871 0.725
Au3 0.371 0.371 0.225
Au4 0.371 0.371 0.775
Au5 0.629 0.629 0.225
Au6 0.629 0.629 0.775
Au7 0.871 0.129 0.275
Au8 0.871 0.129 0.725

Peak list (8 most intense, 10° ≤ 2θ ≤ 90°, most intense first)
| hkl | Position (°2θ) | I (rel.) |
| --- | --- | --- |
| 2 1 2 | 35.57 | 100 |
| 3 1 0 | 35.83 | 42 |
| 2 0 2 | 33.66 | 16 |
| 5 2 2 | 68.95 | 15 |
| 1 1 0 | 15.82 | 14 |
| 3 1 4 | 63.70 | 13 |
| 0 0 4 | 50.78 | 10 |
| 4 1 2 | 54.11 | 9 |